Structure and simulated powder X-ray diffraction pattern of Na3W4O6 (the GGA+U geometry in Alexandria; Cu Ka).
Peak positions follow from Bragg's law for the DFT cell and can differ from measured ones.

Crystal structure
```
data_Na3W4O6
_chemical_formula_sum 'Na6 W8 O12'
_symmetry_space_group_name_H-M 'I m m 2'
_symmetry_Int_Tables_number 44
_cell_length_a 7.7124
_cell_length_b 8.0495
_cell_length_c 6.5674
_cell_angle_alpha 90.00
_cell_angle_beta 90.00
_cell_angle_gamma 90.00
loop_
_symmetry_equiv_pos_as_xyz
'x,y,z'
'-x,-y,z'
'-x,y,z'
'x,-y,z'
'x+1/2,y+1/2,z+1/2'
'-x+1/2,-y+1/2,z+1/2'
'-x+1/2,y+1/2,z+1/2'
'x+1/2,-y+1/2,z+1/2'
loop_
_atom_site_label
_atom_site_type_symbol
_atom_site_fract_x
_atom_site_fract_y
_atom_site_fract_z
_atom_site_occupancy
Na1 Na 0.0000 0.0000 0.0000 1
Na2 Na 0.0000 0.0000 0.4615 1
Na3 Na 0.0000 0.5000 0.0176 1
W1 W 0.2377 0.2506 0.7351 1
O1 O 0.0000 0.2405 0.2275 1
O2 O 0.2062 0.0000 0.7267 1
O3 O 0.2153 0.5000 0.7500 1
```

Most intense lines, 2θ from 10° to 90°, in order of rising 2θ:
- 22.1°, I = 93.0
- 23.1°, I = 100.0
- 27.2°, I = 86.5
- 32.1°, I = 94.2
- 35.3°, I = 88.4
- 35.9°, I = 95.4